No. 1
This entry pairs a crystal structure of TaCl3O with its simulated powder diffractogram. Radiation: λ = 1.5418 Å (Cu Kα). Structure: a structure optimized by DFT (GGA-PBE).
No peak broadening, texture or thermal motion is included.

Cell and atoms:
Unit cell a=8.1273 b=10.0174 c=10.5768 alpha=90.00 beta=98.43 gamma=90.00
Space group P2/c (No. 13)
Symmetry-distinct sites (fractional):
Ta: 0.0957 0.1300 0.1376 x4
Cl: 0.0581 0.1168 0.5994 x4
Cl: 0.0841 0.3556 0.1024 x4
Cl: 0.3589 0.1030 0.0851 x4
O: 0.1416 0.1225 0.3143 x4

Largest 10 diffraction maxima, low angle first, 2θ = 15–90°:
hkl	2θ (°)	d/Å	I (rel.)
1 1 1	17.3	5.126	100
1 0 -2	18.8	4.712	30
0 2 1	19.7	4.518	54
1 0 2	21.6	4.117	40
1 2 1	23.2	3.836	38
2 0 -2	25.9	3.440	28
1 0 -4	34.5	2.601	28
3 0 -2	35.3	2.541	31
0 4 0	35.9	2.504	32
1 4 0	37.6	2.392	35

---

No. 2
This entry pairs a crystal structure of Hf4ZrIr with its simulated powder diffractogram. Radiation: λ = 1.5418 Å (Cu Kα). Structure: a structure optimized by DFT (GGA-PBE).
No peak broadening, texture or thermal motion is included.

Cell and atoms:
Unit cell a=4.4835 b=4.4835 c=7.1750 alpha=90.00 beta=90.00 gamma=90.00
Space group P4/mmm (No. 123)
Symmetry-distinct sites (fractional):
Hf: 0.0000 0.5000 0.2245 x4
Zr: 0.0000 0.0000 0.5000 x1
Ir: 0.5000 0.5000 0.0000 x1

Largest 10 diffraction maxima, low angle first, 2θ = 15–90°:
hkl	2θ (°)	d/Å	I (rel.)
1 0 1	23.4	3.802	31
0 0 2	24.8	3.588	12
1 1 0	28.1	3.170	21
1 1 2	37.9	2.376	100
2 0 0	40.2	2.242	46
2 1 1	47.1	1.931	10
1 1 3	47.6	1.909	10
2 2 0	58.2	1.585	16
2 0 4	66.8	1.401	15
3 1 2	71.6	1.319	31

---

No. 3
This entry pairs a crystal structure of LiAc5Au4 with its simulated powder diffractogram. Radiation: λ = 1.5418 Å (Cu Kα). Structure: a structure optimized by DFT (GGA-PBE).
No peak broadening, texture or thermal motion is included.

Cell and atoms:
Unit cell a=3.9361 b=3.9361 c=19.7531 alpha=90.00 beta=90.00 gamma=90.00
Space group P4/mmm (No. 123)
Symmetry-distinct sites (fractional):
Li: 0.0000 0.0000 0.0000 x1
Ac: 0.5000 0.5000 0.1095 x2
Ac: 0.5000 0.5000 0.3033 x2
Ac: 0.5000 0.5000 0.5000 x1
Au: 0.0000 0.0000 0.1990 x2
Au: 0.0000 0.0000 0.4010 x2

Largest 10 diffraction maxima, low angle first, 2θ = 15–90°:
hkl	2θ (°)	d/Å	I (rel.)
1 1 0	32.1	2.787	100
0 0 10	45.9	1.975	6
2 0 0	46.1	1.968	13
1 1 10	57.2	1.611	12
2 1 5	57.3	1.608	26
2 0 10	67.1	1.394	8
2 2 0	67.3	1.392	4
1 0 15	76.2	1.249	5
3 1 0	76.5	1.245	12
2 2 10	85.3	1.138	4

---

No. 4
This entry pairs a crystal structure of Ac12TbPr5 with its simulated powder diffractogram. Radiation: λ = 1.5418 Å (Cu Kα). Structure: a structure optimized by DFT (GGA-PBE).
No peak broadening, texture or thermal motion is included.

Cell and atoms:
Unit cell a=20.1957 b=11.7190 c=6.7277 alpha=90.00 beta=108.85 gamma=90.00
Space group C2/m (No. 12)
Symmetry-distinct sites (fractional):
Ac: 0.0000 0.1630 0.0000 x4
Ac: 0.0000 0.3345 0.5000 x4
Ac: 0.1660 0.1639 0.4996 x8
Ac: 0.1669 0.3355 0.0009 x8
Tb: 0.0000 0.0000 0.5000 x2
Pr: 0.0000 0.5000 0.0000 x2
Pr: 0.1659 0.0000 0.9978 x4
Pr: 0.1667 0.5000 0.5010 x4

Largest 10 diffraction maxima, low angle first, 2θ = 15–90°:
hkl	2θ (°)	d/Å	I (rel.)
6 0 0	28.0	3.182	100
3 3 1	32.4	2.765	35
6 0 -2	32.7	2.737	17
9 3 -1	46.7	1.945	25
9 3 1	55.1	1.667	8
3 3 3	55.1	1.666	23
12 0 -2	55.6	1.653	15
12 0 0	57.9	1.592	7
6 6 -2	58.0	1.590	7
15 3 -1	75.3	1.263	10

---

No. 5
This entry pairs a crystal structure of CsLi2HoCl6 with its simulated powder diffractogram. Radiation: λ = 1.5418 Å (Cu Kα). Structure: a structure optimized by DFT (GGA-PBE).
No peak broadening, texture or thermal motion is included.

Cell and atoms:
Unit cell a=6.6038 b=6.6038 c=25.0719 alpha=90.00 beta=90.00 gamma=120.00
Space group R-3 (No. 148, hexagonal axes)
Symmetry-distinct sites (fractional):
Cs: 0.0000 0.0000 0.0000 x3
Li: 0.0000 0.0000 0.1708 x6
Ho: 0.0000 0.0000 0.5000 x3
Cl: 0.0006 0.3323 0.7758 x18

Largest 10 diffraction maxima, low angle first, 2θ = 15–90°:
hkl	2θ (°)	d/Å	I (rel.)
0 1 2	17.0	5.203	100
1 0 4	21.0	4.225	63
2 -1 3	29.1	3.071	20
2 0 2	32.1	2.788	24
0 1 8	32.6	2.748	21
1 1 6	34.6	2.591	66
1 2 2	42.4	2.130	25
3 0 0	47.7	1.906	22
2 -1 12	51.8	1.766	19
4 -2 6	60.2	1.536	20

---

No. 6
This entry pairs a crystal structure of La8Pb2N3 with its simulated powder diffractogram. Radiation: λ = 1.5418 Å (Cu Kα). Structure: a structure optimized by DFT (GGA-PBE).
No peak broadening, texture or thermal motion is included.

Cell and atoms:
Unit cell a=5.0012 b=5.0012 c=14.9385 alpha=90.00 beta=90.00 gamma=90.00
Space group P4/mmm (No. 123)
Symmetry-distinct sites (fractional):
La: 0.0000 0.0000 0.1758 x2
La: 0.0000 0.5000 0.0000 x2
La: 0.0000 0.5000 0.3629 x4
Pb: 0.5000 0.5000 0.1829 x2
N: 0.0000 0.0000 0.0000 x1
N: 0.0000 0.0000 0.3362 x2

Largest 10 diffraction maxima, low angle first, 2θ = 15–90°:
hkl	2θ (°)	d/Å	I (rel.)
1 1 2	27.9	3.196	28
0 0 5	29.9	2.988	16
1 1 3	31.0	2.883	100
2 0 0	35.9	2.501	44
2 0 5	47.4	1.918	18
2 2 0	51.7	1.768	15
2 0 6	51.8	1.764	17
1 1 8	55.7	1.651	19
3 1 3	61.5	1.507	29
3 1 8	79.4	1.207	14